(1)
Starting from a cell relaxed with GGA-PBE, the powder diffractogram of LaCd2Cu was simulated for Cu Kα, 1.54184 Å.

Cell and atoms:
Cell: 7.1535 7.1535 7.1535 Å, 90.00 90.00 90.00°
Atoms (fractional coordinates):
La 0.0000 0.0000 0.0000
La 0.0000 0.5000 0.5000
La 0.5000 0.0000 0.5000
La 0.5000 0.5000 0.0000
Cd 0.0000 0.0000 0.5000
Cd 0.0000 0.5000 0.0000
Cd 0.2500 0.2500 0.7500
Cd 0.2500 0.7500 0.2500
Cd 0.5000 0.0000 0.0000
Cd 0.5000 0.5000 0.5000
Cd 0.7500 0.2500 0.2500
Cd 0.7500 0.7500 0.7500
Cu 0.2500 0.2500 0.2500
Cu 0.2500 0.7500 0.7500
Cu 0.7500 0.2500 0.7500
Cu 0.7500 0.7500 0.2500

Principal peaks in the range 2θ from 10° to 80°, most intense first:
- 2.529 Å, 2θ 35.5, I 100
- 1.460 Å, 2θ 63.7, I 34
- 1.788 Å, 2θ 51.1, I 17
- 1.265 Å, 2θ 75.1, I 10
- 4.130 Å, 2θ 21.5, I 3
- 3.577 Å, 2θ 24.9, I 3

(2)
Starting from a cell relaxed with GGA-PBE, the powder diffractogram of Ho2Co5Ni5 was simulated for Cu Kα, 1.54184 Å.

Cell and atoms:
Cell: 3.9424 4.9032 8.4696 Å, 90.00 90.00 90.00°
Atoms (fractional coordinates):
Ho 0.0000 0.0000 0.0000
Ho 0.0000 0.5000 0.5000
Co 0.0000 0.0000 0.3326
Co 0.0000 0.0000 0.6674
Co 0.0000 0.5000 0.1624
Co 0.0000 0.5000 0.8376
Co 0.5000 0.5000 0.0000
Ni 0.5000 0.0000 0.5000
Ni 0.5000 0.2492 0.2498
Ni 0.5000 0.2492 0.7502
Ni 0.5000 0.7508 0.2498
Ni 0.5000 0.7508 0.7502

Principal peaks in the range 2θ from 10° to 80°, most intense first:
- 2.080 Å, 2θ 43.5, I 100
- 2.887 Å, 2θ 31.0, I 57
- 2.120 Å, 2θ 42.6, I 37
- 2.448 Å, 2θ 36.7, I 33
- 1.971 Å, 2θ 46.0, I 26
- 1.444 Å, 2θ 64.6, I 21

(3)
Starting from a cell relaxed with GGA-PBE, the powder diffractogram of TmCoSi2 was simulated for Cu Kα, 1.54184 Å.

Cell and atoms:
Cell: 3.9595 16.1963 3.9537 Å, 90.00 90.00 90.00°
Atoms (fractional coordinates):
Tm 0.0000 0.1069 0.2500
Tm 0.0000 0.8931 0.7500
Tm 0.5000 0.3931 0.7500
Tm 0.5000 0.6069 0.2500
Co 0.0000 0.3220 0.2500
Co 0.0000 0.6780 0.7500
Co 0.5000 0.1780 0.7500
Co 0.5000 0.8220 0.2500
Si 0.0000 0.2503 0.7500
Si 0.0000 0.4582 0.2500
Si 0.0000 0.5418 0.7500
Si 0.0000 0.7497 0.2500
Si 0.5000 0.0418 0.7500
Si 0.5000 0.2497 0.2500
Si 0.5000 0.7503 0.7500
Si 0.5000 0.9582 0.2500

Principal peaks in the range 2θ from 10° to 80°, most intense first:
- 2.484 Å, 2θ 36.2, I 100
- 2.757 Å, 2θ 32.5, I 74
- 2.507 Å, 2θ 35.8, I 71
- 1.978 Å, 2θ 45.9, I 59
- 4.049 Å, 2θ 22.0, I 37
- 3.553 Å, 2θ 25.1, I 36

(4)
Starting from a cell relaxed with GGA-PBE, the powder diffractogram of Zr2Nb3Ge4 was simulated for Cu Kα, 1.54184 Å.

Cell and atoms:
Cell: 6.8749 13.5353 6.9847 Å, 90.00 90.00 90.00°
Atoms (fractional coordinates):
Zr 0.1518 0.1238 0.1661
Zr 0.1518 0.3762 0.1661
Zr 0.3482 0.6238 0.6661
Zr 0.3482 0.8762 0.6661
Zr 0.6518 0.1238 0.3339
Zr 0.6518 0.3762 0.3339
Zr 0.8482 0.6238 0.8339
Zr 0.8482 0.8762 0.8339
Nb 0.0201 0.5906 0.3215
Nb 0.0201 0.9094 0.3215
Nb 0.1744 0.7500 0.9962
Nb 0.3256 0.2500 0.4962
Nb 0.4799 0.0906 0.8215
Nb 0.4799 0.4094 0.8215
Nb 0.5201 0.5906 0.1785
Nb 0.5201 0.9094 0.1785
Nb 0.6744 0.7500 0.5038
Nb 0.8256 0.2500 0.0038
Nb 0.9799 0.0906 0.6785
Nb 0.9799 0.4094 0.6785
Ge 0.0444 0.7500 0.5972
Ge 0.1807 0.2500 0.8411
Ge 0.1963 0.5425 0.9735
Ge 0.1963 0.9575 0.9735
Ge 0.3037 0.0425 0.4735
Ge 0.3037 0.4575 0.4735
Ge 0.3193 0.7500 0.3411
Ge 0.4556 0.2500 0.0972
Ge 0.5444 0.7500 0.9028
Ge 0.6807 0.2500 0.6589
Ge 0.6963 0.5425 0.5265
Ge 0.6963 0.9575 0.5265
Ge 0.8037 0.0425 0.0265
Ge 0.8037 0.4575 0.0265
Ge 0.8193 0.7500 0.1589
Ge 0.9556 0.2500 0.4028

Principal peaks in the range 2θ from 10° to 80°, most intense first:
- 2.177 Å, 2θ 41.5, I 100
- 2.563 Å, 2θ 35.0, I 81
- 2.546 Å, 2θ 35.2, I 66
- 2.279 Å, 2θ 39.5, I 38
- 2.430 Å, 2θ 37.0, I 36
- 2.411 Å, 2θ 37.3, I 30

(5)
Starting from a cell relaxed with GGA-PBE, the powder diffractogram of KSb4F13 was simulated for Cu Kα, 1.54184 Å.

Cell and atoms:
Cell: 7.6398 7.6398 7.6398 Å, 100.11 100.11 130.46°
Atoms (fractional coordinates):
K 0.0000 0.0000 0.0000
Sb 0.2051 0.4856 0.6840
Sb 0.4789 0.7949 0.2805
Sb 0.5144 0.1984 0.7195
Sb 0.8016 0.5211 0.3160
F 0.1670 0.0332 0.6677
F 0.1869 0.4125 0.9240
F 0.2500 0.7500 0.5000
F 0.3656 0.4994 0.3323
F 0.4668 0.1854 0.4502
F 0.4885 0.2629 0.0760
F 0.5006 0.8330 0.8662
F 0.5875 0.5115 0.7744
F 0.7352 0.0166 0.5498
F 0.7371 0.8131 0.2256
F 0.8146 0.2648 0.2814
F 0.9668 0.6344 0.1338
F 0.9834 0.5332 0.7186

Principal peaks in the range 2θ from 10° to 80°, most intense first:
- 3.619 Å, 2θ 24.6, I 100
- 2.911 Å, 2θ 30.7, I 41
- 5.361 Å, 2θ 16.5, I 35
- 3.469 Å, 2θ 25.7, I 35
- 1.875 Å, 2θ 48.6, I 30
- 1.752 Å, 2θ 52.2, I 30

(6)
Starting from a cell relaxed with GGA-PBE, the powder diffractogram of SmEuHf2O6 was simulated for Cu Kα, 1.54184 Å.

Cell and atoms:
Cell: 5.6691 5.6691 4.2016 Å, 90.00 90.00 90.94°
Atoms (fractional coordinates):
Sm 0.0000 0.0000 0.0000
Eu 0.5000 0.5000 0.0000
Hf 0.0000 0.5000 0.5000
Hf 0.5000 0.0000 0.5000
O 0.0000 0.5000 0.0000
O 0.1753 0.1753 0.5000
O 0.3194 0.6806 0.5000
O 0.5000 0.0000 0.0000
O 0.6806 0.3194 0.5000
O 0.8247 0.8247 0.5000

Principal peaks in the range 2θ from 10° to 80°, most intense first:
- 2.834 Å, 2θ 31.6, I 100
- 2.913 Å, 2θ 30.7, I 95
- 2.888 Å, 2θ 31.0, I 92
- 1.688 Å, 2θ 54.4, I 44
- 1.656 Å, 2θ 55.5, I 41
- 1.642 Å, 2θ 56.0, I 41

(7)
Starting from a cell relaxed with GGA-PBE, the powder diffractogram of Cs4Ga2Se5 was simulated for Cu Kα, 1.54184 Å.

Cell and atoms:
Cell: 8.1190 9.5372 11.4722 Å, 76.21 85.73 80.88°
Atoms (fractional coordinates):
Cs 0.0545 0.1070 0.2507
Cs 0.2005 0.5784 0.3676
Cs 0.4214 0.7896 0.0002
Cs 0.4207 0.8265 0.5877
Cs 0.5793 0.1735 0.4123
Cs 0.5786 0.2104 0.9998
Cs 0.7995 0.4216 0.6324
Cs 0.9455 0.8930 0.7493
Ga 0.0948 0.4132 0.9012
Ga 0.2748 0.2199 0.7101
Ga 0.7252 0.7801 0.2899
Ga 0.9052 0.5868 0.0988
Se 0.0957 0.1597 0.8992
Se 0.1496 0.1916 0.5359
Se 0.1938 0.4569 0.0857
Se 0.2657 0.4861 0.7194
Se 0.4482 0.9120 0.2641
Se 0.5518 0.0880 0.7359
Se 0.7343 0.5139 0.2806
Se 0.8062 0.5431 0.9143
Se 0.8504 0.8084 0.4641
Se 0.9043 0.8403 0.1008

Principal peaks in the range 2θ from 10° to 80°, most intense first:
- 3.489 Å, 2θ 25.5, I 100
- 3.535 Å, 2θ 25.2, I 74
- 3.055 Å, 2θ 29.2, I 45
- 3.695 Å, 2θ 24.1, I 44
- 3.194 Å, 2θ 27.9, I 42
- 3.092 Å, 2θ 28.9, I 41